[1]
Simulated powder diffractogram
Compound: NaFeReP2
Radiation: Cu Kα X-rays
Structure: a GGA-PBE-relaxed structure
Kinematic intensities with the Lorentz-polarization factor, no thermal factor.

Principal peaks in the range 2θ from 10° to 90°, most intense first:
2θ = 18.06°, 4.912 Å, I 100; 2θ = 37.08°, 2.424 Å, I 98; 2θ = 24.33°, 3.658 Å, I 63; 2θ = 49.46°, 1.843 Å, I 47; 2θ = 46.05°, 1.971 Å, I 40; 2θ = 35.64°, 2.519 Å, I 31; 2θ = 49.85°, 1.829 Å, I 28; 2θ = 32.11°, 2.787 Å, I 25; 2θ = 79.29°, 1.208 Å, I 21; 2θ = 87.82°, 1.112 Å, I 19

Cell and atoms:
```
NaFeReP2
1.0
3.942 0.000 0.000
0.000 3.942 0.000
0.000 0.000 9.824
Na Fe Re P
2 2 2 4
Cartesian
0.000 0.000 0.000
1.971 1.971 4.912
0.000 1.971 2.456
1.971 0.000 7.368
0.000 1.971 7.368
1.971 0.000 2.456
0.000 0.000 3.679
0.000 0.000 6.146
1.971 1.971 1.233
1.971 1.971 8.591
```

***

[2]
Simulated powder diffractogram
Compound: NaFeTcP2
Radiation: Cu Kα X-rays
Structure: a GGA-PBE-relaxed structure
Kinematic intensities with the Lorentz-polarization factor, no thermal factor.

Principal peaks in the range 2θ from 10° to 90°, most intense first:
2θ = 37.17°, 2.419 Å, I 100; 2θ = 18.71°, 4.742 Å, I 87; 2θ = 45.62°, 1.989 Å, I 50; 2θ = 50.34°, 1.813 Å, I 47; 2θ = 49.72°, 1.834 Å, I 25; 2θ = 36.30°, 2.475 Å, I 22; 2θ = 78.71°, 1.216 Å, I 20; 2θ = 24.27°, 3.668 Å, I 20; 2θ = 87.87°, 1.111 Å, I 19; 2θ = 68.04°, 1.378 Å, I 18

Cell and atoms:
```
NaFeTcP2
1.0
3.977 0.000 0.000
0.000 3.977 0.000
0.000 0.000 9.484
Na Fe Tc P
2 2 2 4
Cartesian
0.000 0.000 0.000
1.989 1.989 4.742
0.000 1.989 2.371
1.989 0.000 7.113
0.000 1.989 7.113
1.989 0.000 2.371
0.000 0.000 3.517
0.000 0.000 5.967
1.989 1.989 1.225
1.989 1.989 8.259
```

***

[3]
Simulated powder diffractogram
Compound: NaTl2FePd
Radiation: Cu Kα X-rays
Structure: a GGA-PBE-relaxed structure
Kinematic intensities with the Lorentz-polarization factor, no thermal factor.

Principal peaks in the range 2θ from 10° to 90°, most intense first:
2θ = 30.30°, 2.950 Å, I 100; 2θ = 33.77°, 2.654 Å, I 45; 2θ = 58.27°, 1.583 Å, I 32; 2θ = 51.50°, 1.774 Å, I 27; 2θ = 18.59°, 4.772 Å, I 17; 2θ = 37.70°, 2.386 Å, I 17; 2θ = 48.51°, 1.877 Å, I 16; 2θ = 63.02°, 1.475 Å, I 15; 2θ = 23.70°, 3.753 Å, I 13; 2θ = 63.52°, 1.465 Å, I 12

Cell and atoms:
```
NaTl2FePd
1.0
5.308 0.000 0.000
0.000 5.308 0.000
0.000 0.000 4.772
Na Tl Fe Pd
1 2 1 1
Cartesian
0.000 0.000 0.000
0.000 2.654 0.000
2.654 0.000 0.000
0.000 0.000 2.386
2.654 2.654 2.386
```

***

- Which formula does entry 2 have?
  NaFeTcP2

***

Repeat the second record exactly.
Simulated powder diffractogram
Compound: NaFeTcP2
Radiation: Cu Kα X-rays
Structure: a GGA-PBE-relaxed structure
Kinematic intensities with the Lorentz-polarization factor, no thermal factor.

Principal peaks in the range 2θ from 10° to 90°, most intense first:
2θ = 37.17°, 2.419 Å, I 100; 2θ = 18.71°, 4.742 Å, I 87; 2θ = 45.62°, 1.989 Å, I 50; 2θ = 50.34°, 1.813 Å, I 47; 2θ = 49.72°, 1.834 Å, I 25; 2θ = 36.30°, 2.475 Å, I 22; 2θ = 78.71°, 1.216 Å, I 20; 2θ = 24.27°, 3.668 Å, I 20; 2θ = 87.87°, 1.111 Å, I 19; 2θ = 68.04°, 1.378 Å, I 18

Cell and atoms:
```
NaFeTcP2
1.0
3.977 0.000 0.000
0.000 3.977 0.000
0.000 0.000 9.484
Na Fe Tc P
2 2 2 4
Cartesian
0.000 0.000 0.000
1.989 1.989 4.742
0.000 1.989 2.371
1.989 0.000 7.113
0.000 1.989 7.113
1.989 0.000 2.371
0.000 0.000 3.517
0.000 0.000 5.967
1.989 1.989 1.225
1.989 1.989 8.259
```